Diffraction record for AsIrOs. The powder X-ray diffraction pattern is calculated, not measured: it uses a structure optimized by DFT (GGA-PBE) and copper Kα.

Structure:
a b c (Å): 4.1845 4.1845 2.9872
angles (deg): 90.00 90.00 120.00
Space group P3m1 (No. 156)
Symmetry-distinct sites (fractional):
As 0.0000 0.0000 0.0000 (multiplicity 1)
Ir 0.3333 0.6667 0.3325 (multiplicity 1)
Os 0.6667 0.3333 0.8224 (multiplicity 1)

Main lines, by intensity (5° ≤ 2θ ≤ 70°):
hkl 0 1 1, 39.08°, I = 100; hkl 1 1 0, 43.24°, I = 69; hkl 2 0 1, 59.69°, I = 29; hkl 1 0 0, 24.57°, I = 18; hkl 1 0 2, 67.87°, I = 10; hkl 0 0 2, 62.15°, I = 4; hkl 2 0 0, 50.36°, I = 3; hkl 2 1 0, 68.50°, I = 2; hkl 1 1 1, 53.47°, I = 2; hkl 0 0 1, 29.91°, I = 1